Starting from DFT lattice parameters and positions (GGA-PBE), the powder diffractogram of NdP2H2CO6 was simulated for Cu Kα.

Most intense lines, 5 to 70 degrees two-theta, in order of rising 2θ:
12.37°, I 100.0; 21.64°, I 70.7; 23.31°, I 53.8; 25.94°, I 40.8; 26.47°, I 25.7; 30.71°, I 61.5; 33.95°, I 25.5; 35.99°, I 20.7

Cell and atoms:
Unit cell a=8.2907 b=8.2907 c=5.3693 alpha=100.38 beta=100.38 gamma=119.26
Sites, in units of the cell vectors:
Nd 0.2290 0.7710 0.0000
Nd 0.7710 0.2290 0.0000
P 0.1436 0.3669 0.6265
P 0.3669 0.1436 0.6265
P 0.6331 0.8564 0.3735
P 0.8564 0.6331 0.3735
H 0.0983 0.0983 0.7706
H 0.3187 0.3187 0.9750
H 0.6813 0.6813 0.0250
H 0.9017 0.9017 0.2294
C 0.2289 0.2289 0.7668
C 0.7711 0.7711 0.2332
O 0.0205 0.3944 0.7969
O 0.0299 0.2644 0.3315
O 0.2644 0.0299 0.3315
O 0.3176 0.5806 0.6938
O 0.3944 0.0205 0.7969
O 0.4194 0.6824 0.3062
O 0.5806 0.3176 0.6938
O 0.6056 0.9795 0.2031
O 0.6824 0.4194 0.3062
O 0.7356 0.9701 0.6685
O 0.9701 0.7356 0.6685
O 0.9795 0.6056 0.2031

Starting from DFT lattice parameters and positions (GGA-PBE), the powder diffractogram of NpPH3CO5 was simulated for Cu Kα.

Most intense lines, 5 to 70 degrees two-theta, in order of rising 2θ:
13.25°, I 22.5; 13.45°, I 100.0; 18.06°, I 14.0; 19.95°, I 14.5; 20.83°, I 14.2; 25.27°, I 24.9; 26.78°, I 16.9; 27.09°, I 14.7

Cell and atoms:
Unit cell a=6.7016 b=6.7239 c=7.1362 alpha=90.44 beta=98.80 gamma=96.17
Sites, in units of the cell vectors:
Np 0.0191 0.3540 0.2517
Np 0.9809 0.6460 0.7483
P 0.0853 0.1924 0.7589
P 0.9147 0.8076 0.2411
H 0.3917 0.0931 0.6721
H 0.3974 0.0967 0.9221
H 0.4347 0.3286 0.8011
H 0.5653 0.6714 0.1989
H 0.6026 0.9033 0.0779
H 0.6083 0.9069 0.3279
C 0.3534 0.1773 0.7918
C 0.6466 0.8227 0.2082
O 0.0224 0.3197 0.5821
O 0.0284 0.3207 0.9221
O 0.0333 0.0168 0.2564
O 0.2510 0.6931 0.7907
O 0.2883 0.4067 0.2931
O 0.7117 0.5933 0.7069
O 0.7490 0.3069 0.2093
O 0.9667 0.9832 0.7436
O 0.9716 0.6793 0.0779
O 0.9776 0.6803 0.4179

Starting from DFT lattice parameters and positions (GGA-PBE), the powder diffractogram of NpP2H2CO8 was simulated for Cu Kα.

Most intense lines, 5 to 70 degrees two-theta, in order of rising 2θ:
16.97°, I 100.0; 18.91°, I 29.8; 19.61°, I 24.1; 20.31°, I 23.8; 31.95°, I 20.4; 32.81°, I 25.5; 33.69°, I 18.3; 34.33°, I 21.3

Cell and atoms:
Unit cell a=8.7429 b=9.3846 c=9.0543 alpha=90.00 beta=90.00 gamma=90.00
Sites, in units of the cell vectors:
Np 0.2370 0.0165 0.0000
Np 0.2630 0.5165 0.5000
Np 0.7370 0.4835 0.0000
Np 0.7630 0.9835 0.5000
P 0.1141 0.3985 0.8624
P 0.1629 0.8897 0.6225
P 0.3371 0.3897 0.1225
P 0.3859 0.8985 0.3624
P 0.6141 0.1015 0.8624
P 0.6629 0.6103 0.6225
P 0.8371 0.1103 0.1225
P 0.8859 0.6015 0.3624
H 0.1105 0.5273 0.0920
H 0.2433 0.0937 0.4754
H 0.2567 0.5937 0.9754
H 0.3895 0.0273 0.5920
H 0.6105 0.9727 0.0920
H 0.7433 0.4063 0.4754
H 0.7567 0.9063 0.9754
H 0.8895 0.4727 0.5920
C 0.2027 0.4955 0.0156
C 0.2973 0.9955 0.5156
C 0.7027 0.0045 0.0156
C 0.7973 0.5045 0.5156
O 0.0046 0.8840 0.5409
O 0.0633 0.6051 0.4005
O 0.1008 0.8896 0.0856
O 0.1347 0.4851 0.7199
O 0.1398 0.9632 0.7723
O 0.1529 0.3540 0.4530
O 0.1696 0.2462 0.8483
O 0.2235 0.7373 0.6354
O 0.2765 0.2373 0.1354
O 0.3304 0.7462 0.3483
O 0.3471 0.8540 0.9530
O 0.3602 0.4632 0.2723
O 0.3653 0.9851 0.2199
O 0.3992 0.3896 0.5856
O 0.4367 0.1051 0.9005
O 0.4954 0.3840 0.0409
O 0.5046 0.6160 0.5409
O 0.5633 0.8949 0.4005
O 0.6008 0.6104 0.0856
O 0.6347 0.0149 0.7199
O 0.6398 0.5368 0.7723
O 0.6529 0.1460 0.4530
O 0.6696 0.2538 0.8483
O 0.7235 0.7627 0.6354
O 0.7765 0.2627 0.1354
O 0.8304 0.7538 0.3483
O 0.8471 0.6460 0.9530
O 0.8602 0.0368 0.2723
O 0.8653 0.5149 0.2199
O 0.8992 0.1104 0.5856
O 0.9367 0.3949 0.9005
O 0.9954 0.1160 0.0409

Starting from DFT lattice parameters and positions (GGA-PBE), the powder diffractogram of NpUP4H4C2O16 was simulated for Cu Kα.

Most intense lines, 5 to 70 degrees two-theta, in order of rising 2θ:
13.40°, I 35.8; 15.45°, I 100.0; 17.75°, I 21.5; 20.95°, I 73.8; 23.93°, I 45.8; 28.19°, I 48.0; 33.46°, I 23.0; 42.19°, I 24.4

Cell and atoms:
Unit cell a=5.6201 b=19.9896 c=7.0684 alpha=90.00 beta=97.91 gamma=90.00
Sites, in units of the cell vectors:
Np 0.1921 0.2500 0.1515
Np 0.8079 0.7500 0.8485
U 0.0000 0.0000 0.5000
U 0.0000 0.5000 0.5000
P 0.3021 0.6347 0.7862
P 0.3021 0.8653 0.7862
P 0.4088 0.1249 0.8185
P 0.4088 0.3751 0.8185
P 0.5912 0.6249 0.1815
P 0.5912 0.8751 0.1815
P 0.6979 0.1347 0.2138
P 0.6979 0.3653 0.2138
H 0.2853 0.5511 0.0268
H 0.2853 0.9489 0.0268
H 0.4463 0.0488 0.0854
H 0.4463 0.4512 0.0854
H 0.5537 0.5488 0.9146
H 0.5537 0.9512 0.9146
H 0.7147 0.0511 0.9732
H 0.7147 0.4489 0.9732
C 0.4286 0.5817 0.9782
C 0.4286 0.9183 0.9782
C 0.5714 0.0817 0.0218
C 0.5714 0.4183 0.0218
O 0.0590 0.7500 0.1628
O 0.0889 0.6740 0.8538
O 0.0889 0.8260 0.8538
O 0.1578 0.2500 0.4021
O 0.1868 0.0115 0.3135
O 0.1868 0.4885 0.3135
O 0.2169 0.5907 0.6139
O 0.2169 0.9093 0.6139
O 0.2432 0.0727 0.7090
O 0.2432 0.4273 0.7090
O 0.2624 0.1812 0.9102
O 0.2624 0.3188 0.9102
O 0.4205 0.6601 0.2980
O 0.4205 0.8399 0.2980
O 0.4965 0.1825 0.2573
O 0.4965 0.3175 0.2573
O 0.5035 0.6825 0.7427
O 0.5035 0.8175 0.7427
O 0.5795 0.1601 0.7020
O 0.5795 0.3399 0.7020
O 0.7376 0.6812 0.0898
O 0.7376 0.8188 0.0898
O 0.7568 0.5727 0.2910
O 0.7568 0.9273 0.2910
O 0.7831 0.0907 0.3861
O 0.7831 0.4093 0.3861
O 0.8132 0.5115 0.6865
O 0.8132 0.9885 0.6865
O 0.8422 0.7500 0.5979
O 0.9111 0.1740 0.1462
O 0.9111 0.3260 0.1462
O 0.9410 0.2500 0.8372